Entry 1:
This entry pairs a crystal structure of CeSnAu5 with its computed X-ray powder pattern. Radiation: λ = 1.5418 Å (Cu Kα). Structure: a DFT-relaxed cell (GGA-PBE, Alexandria).

Cell and atoms:
```
28
Lattice="9.262 0.000 0.000 0.000 5.744 0.000 0.000 0.000 11.246" Properties=species:S:1:pos:R:3 pbc="T T T"
Ce 2.284 1.436 0.638
Ce 2.347 4.308 6.261
Ce 6.914 1.436 4.985
Ce 6.978 4.308 10.608
Sn 1.401 1.436 3.887
Sn 3.230 4.308 9.510
Sn 6.032 1.436 1.736
Sn 7.861 4.308 7.359
Au 0.629 2.910 9.002
Au 0.629 5.707 9.002
Au 0.704 1.436 6.459
Au 0.855 4.308 0.240
Au 1.629 4.308 3.097
Au 3.001 1.436 8.720
Au 3.776 1.436 5.863
Au 3.926 4.308 0.836
Au 4.002 0.038 3.379
Au 4.002 2.835 3.379
Au 5.260 2.910 7.867
Au 5.260 5.707 7.867
Au 5.335 1.436 10.410
Au 5.486 4.308 5.383
Au 6.260 4.308 2.526
Au 7.632 1.436 8.149
Au 8.407 1.436 11.006
Au 8.557 4.308 4.787
Au 8.633 0.038 2.244
Au 8.633 2.835 2.244
```

Main lines, by intensity (2θ from 10° to 90°):
| 2θ/deg | intensity |
| --- | --- |
| 33.9 | 100.0 |
| 40.7 | 99.0 |
| 37.7 | 79.3 |
| 33.3 | 69.5 |
| 39.7 | 55.8 |
| 34.5 | 50.8 |
| 35.1 | 40.9 |
| 71.4 | 32.9 |
| 40.3 | 31.8 |
| 41.3 | 30.5 |

Entry 2:
This entry pairs a crystal structure of Ce5SnAu3 with its computed X-ray powder pattern. Radiation: λ = 1.5418 Å (Cu Kα). Structure: a DFT-relaxed cell (GGA-PBE, Alexandria).

Cell and atoms:
```
18
Lattice="8.049 -4.657 0.000 8.049 4.657 0.000 0.000 0.000 6.313" Properties=species:S:1:pos:R:3 pbc="T T T"
Ce 2.682 0.000 0.000
Ce 2.682 0.000 3.157
Ce 5.619 1.406 1.578
Ce 8.049 2.807 4.735
Ce 5.619 -1.406 4.735
Ce 10.479 1.406 1.578
Ce 8.049 -2.807 1.578
Ce 10.479 -1.406 4.735
Ce 13.417 0.000 0.000
Ce 13.417 0.000 3.157
Sn 8.049 0.000 0.000
Sn 8.049 0.000 3.157
Au 8.049 3.438 1.578
Au 5.083 1.715 4.735
Au 5.083 -1.715 1.578
Au 11.016 1.715 4.735
Au 11.016 -1.715 1.578
Au 8.049 -3.438 4.735
```

Main lines, by intensity (2θ from 10° to 90°):
| 2θ/deg | intensity |
| --- | --- |
| 33.4 | 100.0 |
| 34.3 | 88.6 |
| 48.6 | 28.1 |
| 60.2 | 26.5 |
| 69.0 | 24.7 |
| 32.6 | 23.3 |
| 44.3 | 12.9 |
| 59.6 | 12.6 |
| 42.9 | 12.4 |
| 28.3 | 11.7 |

Entry 3:
This entry pairs a crystal structure of CeSn3Au2 with its computed X-ray powder pattern. Radiation: λ = 1.5418 Å (Cu Kα). Structure: a DFT-relaxed cell (GGA-PBE, Alexandria).

Cell and atoms:
```
12
Lattice="8.388 -2.434 0.000 8.388 2.434 0.000 -3.889 0.000 7.483" Properties=species:S:1:pos:R:3 pbc="T T T"
Ce 1.829 0.000 0.851
Ce 11.057 0.000 6.632
Sn -2.494 0.000 5.054
Sn 3.034 0.000 4.048
Sn 5.183 0.000 1.236
Sn 7.703 0.000 6.247
Sn 9.853 0.000 3.435
Sn 15.381 0.000 2.429
Au 0.691 0.000 5.930
Au 4.853 0.000 6.135
Au 8.034 0.000 1.348
Au 12.195 0.000 1.553
```

Main lines, by intensity (2θ from 10° to 90°):
| 2θ/deg | intensity |
| --- | --- |
| 36.9 | 100.0 |
| 34.0 | 90.5 |
| 31.7 | 70.3 |
| 32.5 | 67.3 |
| 38.5 | 47.2 |
| 44.4 | 32.8 |
| 23.8 | 30.1 |
| 36.0 | 28.8 |
| 28.9 | 28.8 |
| 41.8 | 28.6 |

Entry 4:
This entry pairs a crystal structure of Ce7SnAu4 with its computed X-ray powder pattern. Radiation: λ = 1.5418 Å (Cu Kα). Structure: a DFT-relaxed cell (GGA-PBE, Alexandria).

Cell and atoms:
```
12
Lattice="7.180 -2.937 0.000 7.180 2.937 0.000 -5.026 0.000 7.490" Properties=species:S:1:pos:R:3 pbc="T T T"
Ce 0.000 0.000 0.000
Ce -0.202 0.000 5.286
Ce 3.855 0.000 0.594
Ce 3.487 0.000 4.484
Ce 5.847 0.000 3.006
Ce 5.479 0.000 6.896
Ce 9.537 0.000 2.204
Sn 7.180 0.000 0.000
Au -3.079 0.000 5.234
Au 1.161 0.000 2.649
Au 8.173 0.000 4.841
Au 12.413 0.000 2.257
```

Main lines, by intensity (2θ from 10° to 90°):
| 2θ/deg | intensity |
| --- | --- |
| 30.4 | 100.0 |
| 36.0 | 80.2 |
| 31.4 | 45.2 |
| 30.0 | 40.6 |
| 44.3 | 40.3 |
| 35.8 | 32.2 |
| 43.2 | 31.5 |
| 34.4 | 26.8 |
| 47.8 | 25.9 |
| 38.0 | 19.1 |

Entry 5:
This entry pairs a crystal structure of SrCe3Au4 with its computed X-ray powder pattern. Radiation: λ = 1.5418 Å (Cu Kα). Structure: a DFT-relaxed cell (GGA-PBE, Alexandria).

Cell and atoms:
```
8
Lattice="5.301 0.000 0.000 0.000 5.301 0.000 0.000 0.000 7.408" Properties=species:S:1:pos:R:3 pbc="T T T"
Sr 0.000 0.000 0.000
Ce 0.000 0.000 3.704
Ce 2.651 2.651 0.000
Ce 2.651 2.651 3.704
Au 0.000 2.651 1.956
Au 0.000 2.651 5.452
Au 2.651 0.000 1.956
Au 2.651 0.000 5.452
```

Main lines, by intensity (2θ from 10° to 90°):
| 2θ/deg | intensity |
| --- | --- |
| 34.0 | 100.0 |
| 33.8 | 51.8 |
| 60.6 | 38.2 |
| 48.6 | 18.9 |
| 61.0 | 17.7 |
| 71.6 | 11.1 |
| 81.1 | 8.7 |
| 81.3 | 8.5 |
| 49.2 | 8.4 |
| 82.2 | 7.1 |

Entry 6:
This entry pairs a crystal structure of TbCe2Au3 with its computed X-ray powder pattern. Radiation: λ = 1.5418 Å (Cu Kα). Structure: a DFT-relaxed cell (GGA-PBE, Alexandria).

Cell and atoms:
```
6
Lattice="3.617 0.000 0.000 0.000 3.617 0.000 0.000 0.000 11.308" Properties=species:S:1:pos:R:3 pbc="T T T"
Tb 0.000 0.000 0.000
Ce 0.000 0.000 3.741
Ce 0.000 0.000 7.567
Au 1.808 1.808 1.744
Au 1.808 1.808 5.654
Au 1.808 1.808 9.564
```

Main lines, by intensity (2θ from 10° to 90°):
| 2θ/deg | intensity |
| --- | --- |
| 34.4 | 100.0 |
| 35.1 | 48.3 |
| 62.5 | 35.9 |
| 61.1 | 18.0 |
| 50.5 | 17.4 |
| 72.4 | 10.9 |
| 48.3 | 9.1 |
| 84.8 | 8.3 |
| 84.3 | 8.0 |
| 81.0 | 7.3 |